Entry 1:
Computed PXRD pattern of LaMgI5 for λ = 1.5418 Å (Cu Kα), from DFT lattice parameters and positions (GGA-PBE).

Principal peaks in the range 2θ = 15–90°, low angle first:
- 22.5 deg, I = 31, hkl 2 1 1
- 22.8 deg, I = 32, hkl 0 3 2
- 23.1 deg, I = 57, hkl 0 4 0
- 24.2 deg, I = 100, hkl 2 2 -1
- 24.9 deg, I = 29, hkl 1 1 -3
- 25.2 deg, I = 71, hkl 0 2 3
- 26.2 deg, I = 46, hkl 2 1 2
- 29.9 deg, I = 28, hkl 1 3 -3
- 38.1 deg, I = 29, hkl 1 5 -3
- 39.0 deg, I = 29, hkl 2 5 2

Structural model:
Cell lengths 8.812, 15.404, 11.942 Å; angles 90.00, 92.10, 90.00 degrees
Space group P2_1 (No. 4)
Inequivalent atoms, fractional coordinates:
1 La 0.005 0.000 0.110 (multiplicity 2)
2 La 0.487 0.606 0.590 (multiplicity 2)
3 Mg 0.022 0.665 0.598 (multiplicity 2)
4 Mg 0.469 0.053 0.055 (multiplicity 2)
5 I 0.022 0.204 0.183 (multiplicity 2)
6 I 0.038 0.310 0.865 (multiplicity 2)
7 I 0.153 0.500 0.640 (multiplicity 2)
8 I 0.230 0.019 0.907 (multiplicity 2)
9 I 0.240 0.205 0.523 (multiplicity 2)
10 I 0.251 0.741 0.483 (multiplicity 2)
11 I 0.276 0.515 0.063 (multiplicity 2)
12 I 0.353 0.958 0.239 (multiplicity 2)
13 I 0.481 0.705 0.832 (multiplicity 2)
14 I 0.493 0.473 0.410 (multiplicity 2)


Entry 2:
Computed PXRD pattern of K4P4O15 for λ = 1.5418 Å (Cu Kα), from DFT lattice parameters and positions (GGA-PBE).

Principal peaks in the range 2θ = 15–90°, low angle first:
- 17.6 deg, I = 56, hkl 1 1 -2
- 22.9 deg, I = 51, hkl 1 1 -3
- 24.7 deg, I = 33, hkl 2 0 -4
- 25.8 deg, I = 66, hkl 4 0 -4
- 26.4 deg, I = 37, hkl 0 2 1
- 27.2 deg, I = 36, hkl 2 2 -1
- 27.4 deg, I = 43, hkl 5 1 -2
- 27.8 deg, I = 100, hkl 3 1 -4
- 28.4 deg, I = 85, hkl 5 1 -1
- 29.9 deg, I = 76, hkl 3 1 2

Structural model:
Cell lengths 18.334, 7.018, 14.538 Å; angles 90.00, 120.27, 90.00 degrees
Space group C2/c (No. 15)
Inequivalent atoms, fractional coordinates:
1 K 0.021 0.209 0.409 (multiplicity 8)
2 K 0.228 0.421 0.376 (multiplicity 8)
3 P 0.141 0.089 0.778 (multiplicity 8)
4 P 0.171 0.438 0.095 (multiplicity 8)
5 O 0.000 0.465 0.750 (multiplicity 4)
6 O 0.085 0.125 0.660 (multiplicity 8)
7 O 0.110 0.468 0.138 (multiplicity 8)
8 O 0.118 0.101 0.310 (multiplicity 8)
9 O 0.142 0.256 0.847 (multiplicity 8)
10 O 0.147 0.236 0.048 (multiplicity 8)
11 O 0.172 0.407 0.524 (multiplicity 8)
12 O 0.237 0.070 0.797 (multiplicity 8)


Entry 3:
Computed PXRD pattern of CeSe2 for λ = 1.5418 Å (Cu Kα), from DFT lattice parameters and positions (GGA-PBE).

Principal peaks in the range 2θ = 15–90°, low angle first:
- 26.6 deg, I = 100, hkl 1 0 3
- 28.2 deg, I = 56, hkl 1 0 4
- 30.0 deg, I = 51, hkl 1 0 5
- 32.1 deg, I = 57, hkl 1 0 6
- 34.5 deg, I = 53, hkl 1 0 7
- 37.1 deg, I = 54, hkl 1 0 8
- 39.8 deg, I = 34, hkl 1 0 9
- 43.3 deg, I = 100, hkl 1 1 0
- 45.5 deg, I = 42, hkl 1 1 4
- 73.6 deg, I = 39, hkl 1 1 16

Structural model:
Cell lengths 4.1837, 4.1837, 26.1321 Å; angles 90.00, 90.00, 120.00 degrees
Space group P-6m2 (No. 187)
Inequivalent atoms, fractional coordinates:
1 Ce 0.0000 0.0000 0.0000 (multiplicity 1)
2 Ce 0.0000 0.0000 0.2498 (multiplicity 2)
3 Ce 0.6667 0.3333 0.5000 (multiplicity 1)
4 Se 0.0000 0.0000 0.4373 (multiplicity 2)
5 Se 0.3333 0.6667 0.0627 (multiplicity 2)
6 Se 0.3333 0.6667 0.3081 (multiplicity 2)
7 Se 0.6667 0.3333 0.1912 (multiplicity 2)


Entry 4:
Computed PXRD pattern of LiSm2OsO6 for λ = 1.5418 Å (Cu Kα), from DFT lattice parameters and positions (GGA-PBE).

Principal peaks in the range 2θ = 15–90°, low angle first:
- 19.1 deg, I = 73, hkl 0 1 1
- 20.1 deg, I = 43, hkl 1 0 -2
- 30.7 deg, I = 38, hkl 0 2 0
- 32.2 deg, I = 100, hkl 1 1 1
- 32.5 deg, I = 99, hkl 1 1 -3
- 33.1 deg, I = 51, hkl 2 0 -2
- 38.3 deg, I = 27, hkl 2 1 -1
- 45.8 deg, I = 34, hkl 2 2 -2
- 46.9 deg, I = 28, hkl 0 0 4
- 58.3 deg, I = 34, hkl 3 1 -1

Structural model:
Cell lengths 5.417, 5.824, 9.394 Å; angles 90.00, 124.47, 90.00 degrees
Space group P2_1/c (No. 14)
Inequivalent atoms, fractional coordinates:
1 Li 0.000 0.000 0.000 (multiplicity 2)
2 Sm 0.229 0.075 0.748 (multiplicity 4)
3 Os 0.500 0.000 0.500 (multiplicity 2)
4 O 0.148 0.183 0.448 (multiplicity 4)
5 O 0.265 0.709 0.441 (multiplicity 4)
6 O 0.365 0.038 0.256 (multiplicity 4)


Entry 5:
Computed PXRD pattern of NaSbS2 for λ = 1.5418 Å (Cu Kα), from DFT lattice parameters and positions (GGA-PBE).

Principal peaks in the range 2θ = 15–90°, low angle first:
- 16.3 deg, I = 51, hkl 0 0 1
- 22.2 deg, I = 50, hkl 1 0 0
- 27.7 deg, I = 37, hkl 1 0 1
- 31.6 deg, I = 100, hkl 1 1 0
- 33.0 deg, I = 44, hkl 0 0 2
- 35.7 deg, I = 29, hkl 1 1 1
- 45.3 deg, I = 35, hkl 2 0 0
- 46.3 deg, I = 65, hkl 1 1 2
- 57.1 deg, I = 34, hkl 2 0 2
- 84.4 deg, I = 22, hkl 3 1 2

Structural model:
Cell lengths 4.006, 4.006, 5.433 Å; angles 90.00, 90.00, 90.00 degrees
Space group P4/mmm (No. 123)
Inequivalent atoms, fractional coordinates:
1 Na 0.000 0.000 0.000 (multiplicity 1)
2 Sb 0.500 0.500 0.500 (multiplicity 1)
3 S 0.000 0.000 0.500 (multiplicity 1)
4 S 0.500 0.500 0.000 (multiplicity 1)


Entry 6:
Computed PXRD pattern of Zr9W4S for λ = 1.5418 Å (Cu Kα), from DFT lattice parameters and positions (GGA-PBE).

Principal peaks in the range 2θ = 15–90°, low angle first:
- 33.1 deg, I = 13, hkl 1 0 3
- 37.0 deg, I = 68, hkl 3 0 1
- 37.5 deg, I = 100, hkl 2 1 2
- 39.1 deg, I = 36, hkl 2 0 3
- 41.1 deg, I = 16, hkl 2 2 0
- 41.6 deg, I = 19, hkl 0 0 4
- 62.1 deg, I = 14, hkl 3 2 3
- 63.6 deg, I = 15, hkl 3 3 0
- 65.0 deg, I = 21, hkl 5 0 2
- 65.1 deg, I = 22, hkl 3 0 5

Structural model:
Cell lengths 8.7756, 8.7756, 8.6862 Å; angles 90.00, 90.00, 120.00 degrees
Space group P6_3/mmc (No. 194)
Inequivalent atoms, fractional coordinates:
1 Zr 0.0782 0.5391 0.2500 (multiplicity 6)
2 Zr 0.1969 0.3937 0.5497 (multiplicity 12)
3 W 0.0000 0.0000 0.0000 (multiplicity 2)
4 W 0.1087 0.2174 0.2500 (multiplicity 6)
5 S 0.3333 0.6667 0.7500 (multiplicity 2)


Entry 7:
Computed PXRD pattern of MnSnPt for λ = 1.5418 Å (Cu Kα), from DFT lattice parameters and positions (GGA-PBE).

Principal peaks in the range 2θ = 15–90°, low angle first:
- 25.2 deg, I = 15, hkl 1 1 1
- 29.1 deg, I = 62, hkl 2 0 0
- 41.7 deg, I = 100, hkl 2 2 0
- 49.3 deg, I = 7, hkl 3 1 1
- 51.7 deg, I = 18, hkl 2 2 2
- 60.4 deg, I = 17, hkl 4 0 0
- 66.5 deg, I = 3, hkl 3 3 1
- 68.5 deg, I = 24, hkl 4 2 0
- 76.1 deg, I = 35, hkl 4 2 2
- 81.6 deg, I = 2, hkl 5 1 1

Structural model:
Cell lengths 6.129, 6.129, 6.129 Å; angles 90.00, 90.00, 90.00 degrees
Space group F-43m (No. 216)
Inequivalent atoms, fractional coordinates:
1 Mn 0.000 0.000 0.000 (multiplicity 4)
2 Sn 0.250 0.250 0.250 (multiplicity 4)
3 Pt 0.250 0.250 0.750 (multiplicity 4)


Entry 8:
Computed PXRD pattern of Mg16MnAl12 for λ = 1.5418 Å (Cu Kα), from DFT lattice parameters and positions (GGA-PBE).

Principal peaks in the range 2θ = 15–90°, low angle first:
- 34.3 deg, I = 33, hkl 0 4 2
- 35.9 deg, I = 100, hkl 3 0 3
- 36.5 deg, I = 96, hkl 2 3 2
- 36.8 deg, I = 67, hkl 0 5 1
- 36.9 deg, I = 51, hkl 3 3 0
- 39.3 deg, I = 23, hkl 1 0 4
- 40.6 deg, I = 29, hkl 5 0 2
- 40.9 deg, I = 48, hkl 5 1 1
- 43.9 deg, I = 22, hkl 4 1 3
- 65.3 deg, I = 37, hkl 3 5 4

Structural model:
Cell lengths 14.6137, 14.6137, 9.3188 Å; angles 90.00, 90.00, 120.00 degrees
Space group R3m (No. 160, hexagonal axes)
Inequivalent atoms, fractional coordinates:
1 Mg 0.0000 0.0000 0.0000 (multiplicity 3)
2 Mg 0.0128 0.3062 0.2979 (multiplicity 18)
3 Mg 0.0674 0.5337 0.2092 (multiplicity 9)
4 Mg 0.1952 0.0976 0.5036 (multiplicity 9)
5 Mg 0.2163 0.4327 0.7737 (multiplicity 9)
6 Mn 0.0000 0.0000 0.7001 (multiplicity 3)
7 Al 0.0000 0.1814 0.8084 (multiplicity 18)
8 Al 0.0632 0.1264 0.2894 (multiplicity 9)
9 Al 0.0835 0.5417 0.7210 (multiplicity 9)


Entry 9:
Computed PXRD pattern of Co3Se4 for λ = 1.5418 Å (Cu Kα), from DFT lattice parameters and positions (GGA-PBE).

Principal peaks in the range 2θ = 15–90°, low angle first:
- 33.4 deg, I = 27, hkl 0 0 2
- 33.6 deg, I = 100, hkl 1 1 1
- 34.1 deg, I = 43, hkl 3 1 -1
- 34.5 deg, I = 52, hkl 4 0 -2
- 45.5 deg, I = 52, hkl 3 1 1
- 46.3 deg, I = 41, hkl 5 1 -1
- 46.8 deg, I = 23, hkl 6 0 -2
- 51.1 deg, I = 40, hkl 0 2 0
- 51.3 deg, I = 68, hkl 3 1 -3
- 62.4 deg, I = 24, hkl 7 1 -1

Structural model:
Cell lengths 11.810, 3.574, 6.165 Å; angles 90.00, 119.42, 90.00 degrees
Space group C2/m (No. 12)
Inequivalent atoms, fractional coordinates:
1 Co 0.000 0.000 0.000 (multiplicity 2)
2 Co 0.239 0.500 0.719 (multiplicity 4)
3 Se 0.122 0.000 0.456 (multiplicity 4)
4 Se 0.134 0.500 0.976 (multiplicity 4)


Entry 10:
Computed PXRD pattern of MgSi for λ = 1.5418 Å (Cu Kα), from DFT lattice parameters and positions (GGA-PBE).

Principal peaks in the range 2θ = 15–90°, low angle first:
- 34.4 deg, I = 40, hkl 0 2 -1
- 35.3 deg, I = 35, hkl 2 0 0
- 35.9 deg, I = 100, hkl 0 0 3
- 38.3 deg, I = 76, hkl 1 -2 2
- 39.0 deg, I = 53, hkl 2 0 1
- 39.9 deg, I = 37, hkl 2 0 -2
- 40.9 deg, I = 66, hkl -2 2 1
- 44.0 deg, I = 27, hkl 1 2 -1
- 45.3 deg, I = 28, hkl 0 2 2
- 45.8 deg, I = 36, hkl 2 -2 2

Structural model:
Cell lengths 5.519, 5.695, 7.629 Å; angles 96.65, 95.20, 111.43 degrees
Space group P-1 (No. 2)
Inequivalent atoms, fractional coordinates:
1 Mg 0.098 0.025 0.314 (multiplicity 2)
2 Mg 0.237 0.796 0.977 (multiplicity 2)
3 Mg 0.311 0.517 0.643 (multiplicity 2)
4 Si 0.200 0.537 0.280 (multiplicity 2)
5 Si 0.302 0.316 0.013 (multiplicity 2)
6 Si 0.422 0.055 0.640 (multiplicity 2)


Entry 11:
Computed PXRD pattern of Er2MgNi2 for λ = 1.5418 Å (Cu Kα), from DFT lattice parameters and positions (GGA-PBE).

Principal peaks in the range 2θ = 15–90°, low angle first:
- 17.3 deg, I = 19, hkl 1 1 0
- 24.5 deg, I = 16, hkl 2 0 0
- 27.5 deg, I = 22, hkl 2 1 0
- 34.4 deg, I = 28, hkl 2 0 1
- 36.6 deg, I = 100, hkl 2 1 1
- 39.2 deg, I = 21, hkl 3 1 0
- 48.6 deg, I = 12, hkl 0 0 2
- 51.9 deg, I = 16, hkl 4 1 0
- 57.9 deg, I = 17, hkl 4 1 1
- 73.9 deg, I = 11, hkl 4 1 2

Structural model:
Cell lengths 7.261, 7.261, 3.744 Å; angles 90.00, 90.00, 90.00 degrees
Space group P4/mbm (No. 127)
Inequivalent atoms, fractional coordinates:
1 Er 0.174 0.326 0.000 (multiplicity 4)
2 Mg 0.000 0.000 0.500 (multiplicity 2)
3 Ni 0.120 0.620 0.500 (multiplicity 4)


Copy entry 2 word for word.
Computed PXRD pattern of K4P4O15 for λ = 1.5418 Å (Cu Kα), from DFT lattice parameters and positions (GGA-PBE).

Principal peaks in the range 2θ = 15–90°, low angle first:
- 17.6 deg, I = 56, hkl 1 1 -2
- 22.9 deg, I = 51, hkl 1 1 -3
- 24.7 deg, I = 33, hkl 2 0 -4
- 25.8 deg, I = 66, hkl 4 0 -4
- 26.4 deg, I = 37, hkl 0 2 1
- 27.2 deg, I = 36, hkl 2 2 -1
- 27.4 deg, I = 43, hkl 5 1 -2
- 27.8 deg, I = 100, hkl 3 1 -4
- 28.4 deg, I = 85, hkl 5 1 -1
- 29.9 deg, I = 76, hkl 3 1 2

Structural model:
Cell lengths 18.334, 7.018, 14.538 Å; angles 90.00, 120.27, 90.00 degrees
Space group C2/c (No. 15)
Inequivalent atoms, fractional coordinates:
1 K 0.021 0.209 0.409 (multiplicity 8)
2 K 0.228 0.421 0.376 (multiplicity 8)
3 P 0.141 0.089 0.778 (multiplicity 8)
4 P 0.171 0.438 0.095 (multiplicity 8)
5 O 0.000 0.465 0.750 (multiplicity 4)
6 O 0.085 0.125 0.660 (multiplicity 8)
7 O 0.110 0.468 0.138 (multiplicity 8)
8 O 0.118 0.101 0.310 (multiplicity 8)
9 O 0.142 0.256 0.847 (multiplicity 8)
10 O 0.147 0.236 0.048 (multiplicity 8)
11 O 0.172 0.407 0.524 (multiplicity 8)
12 O 0.237 0.070 0.797 (multiplicity 8)


What is the formula in the eleventh record?
Er2MgNi2